Er6Fe2Rh: theoretical X-ray powder pattern (Cu Kα (λ = 1.5418 Å)), based on a DFT-relaxed cell (PBE, Alexandria).
Lines closer than 0.1° are merged.

Main lines, sorted by position (10 to 90 degrees two-theta):
d_spacing  Rel. int.
3.007  21.3
2.975  19.3
2.898  23.3
2.705  100.0
2.526  30.1
2.474  77.8
2.389  29.7
2.360  15.9
1.531  18.3
1.521  18.8

Atomic structure:
```
Er6Fe2Rh
1.0
-4.5652 4.7209 4.7775
4.5652 -4.7209 4.7775
4.5652 4.7209 -4.7775
Er Fe Rh
12 4 2
direct
0.0162 0.1976 0.8186 Er
0.2576 0.3075 0.5652 Er
0.2585 0.5790 0.3205 Er
0.2576 0.6925 0.9501 Er
0.2585 0.9380 0.6795 Er
0.3790 0.1976 0.1814 Er
0.6210 0.8024 0.8186 Er
0.7415 0.0620 0.3205 Er
0.7424 0.3075 0.0499 Er
0.7415 0.4210 0.6795 Er
0.7424 0.6925 0.4348 Er
0.9838 0.8024 0.1814 Er
0.0000 0.1258 0.1258 Fe
0.0000 0.8742 0.8742 Fe
0.3893 0.0000 0.3893 Fe
0.6107 0.0000 0.6107 Fe
0.0000 0.5000 0.5000 Rh
0.5000 0.5000 0.0000 Rh
```

---

Er6Fe2Ru: theoretical X-ray powder pattern (Cu Kα (λ = 1.5418 Å)), based on a DFT-relaxed cell (PBE, Alexandria).
Lines closer than 0.1° are merged.

Main lines, sorted by position (10 to 90 degrees two-theta):
d_spacing  Rel. int.
3.350  16.1
3.010  21.3
2.966  23.1
2.919  25.3
2.708  100.0
2.520  33.4
2.490  47.8
2.481  35.6
2.388  33.1
1.534  21.8

Atomic structure:
```
Er6Fe2Ru
1.0
-4.6028 4.6990 4.7769
4.6028 -4.6990 4.7769
4.6028 4.6990 -4.7769
Er Fe Ru
12 4 2
direct
0.0220 0.2006 0.8214 Er
0.2496 0.5725 0.3228 Er
0.2496 0.9268 0.6772 Er
0.2673 0.3086 0.5759 Er
0.2673 0.6914 0.9587 Er
0.3793 0.2006 0.1786 Er
0.6207 0.7994 0.8214 Er
0.7327 0.3086 0.0413 Er
0.7327 0.6914 0.4241 Er
0.7504 0.0732 0.3228 Er
0.7504 0.4275 0.6772 Er
0.9780 0.7994 0.1786 Er
0.0000 0.1259 0.1259 Fe
0.0000 0.8741 0.8741 Fe
0.3891 0.0000 0.3891 Fe
0.6109 0.0000 0.6109 Fe
0.0000 0.5000 0.5000 Ru
0.5000 0.5000 0.0000 Ru
```

---

Er2Sc6Fe: theoretical X-ray powder pattern (Cu Kα (λ = 1.5418 Å)), based on a DFT-relaxed cell (PBE, Alexandria).
Lines closer than 0.1° are merged.

Main lines, sorted by position (10 to 90 degrees two-theta):
d_spacing  Rel. int.
4.516  73.2
4.415  16.5
2.970  45.1
2.624  100.0
2.568  63.8
2.470  44.7
2.183  17.3
2.171  31.3
1.516  17.3
1.364  17.3

Atomic structure:
```
Er2Sc6Fe
1.0
4.4145 -7.8822 0.0000
4.4145 7.8822 0.0000
0.0000 0.0000 3.2194
Er Sc Fe
2 6 1
direct
0.1672 0.8328 0.0000 Er
0.8328 0.1672 0.0000 Er
0.1717 0.4966 0.5000 Sc
0.2499 0.2499 0.0000 Sc
0.4966 0.1717 0.5000 Sc
0.5034 0.8283 0.5000 Sc
0.7501 0.7501 0.0000 Sc
0.8283 0.5034 0.5000 Sc
0.5000 0.5000 0.5000 Fe
```

---

ErSc3Fe8: theoretical X-ray powder pattern (Cu Kα (λ = 1.5418 Å)), based on a DFT-relaxed cell (PBE, Alexandria).
Lines closer than 0.1° are merged.

Main lines, sorted by position (10 to 90 degrees two-theta):
d_spacing  Rel. int.
8.095  12.4
4.232  10.8
4.051  7.1
3.508  7.1
2.481  34.9
2.115  100.0
2.025  33.1
1.432  11.7
1.350  28.5
1.240  22.3

Atomic structure:
```
ErSc3Fe8
1.0
2.4815 1.4327 8.0951
-2.4815 1.4327 8.0951
0.0000 -2.8654 8.0951
Er Sc Fe
1 3 8
direct
0.0000 0.0000 0.0000 Er
0.3768 0.3768 0.3768 Sc
0.5003 0.5003 0.5003 Sc
0.8739 0.8739 0.8739 Sc
0.1875 0.1875 0.1875 Fe
0.4367 0.4367 0.9357 Fe
0.4367 0.9357 0.4367 Fe
0.4401 0.9382 0.9382 Fe
0.6879 0.6879 0.6879 Fe
0.9357 0.4367 0.4367 Fe
0.9382 0.4401 0.9382 Fe
0.9382 0.9382 0.4401 Fe
```